The following is a simulated PXRD pattern of TaTiS2Cl. It was derived from the GGA-PBE geometry in Alexandria, using a wavelength of 1.5418 Å.

Top 12 peaks for 2θ from 5° to 70°, in order of rising 2θ:
2θ 18.7, intensity 26.9, (1 0 0); 2θ 26.6, intensity 56.3, (1 1 0); 2θ 27.3, intensity 100.0, (1 0 1); 2θ 33.3, intensity 90.6, (1 1 1); 2θ 38.0, intensity 61.7, (2 0 0); 2θ 39.9, intensity 26.8, (0 0 2); 2θ 47.4, intensity 45.6, (2 1 1); 2θ 48.6, intensity 22.1, (1 1 2); 2θ 54.8, intensity 20.4, (2 2 0); 2θ 56.2, intensity 37.5, (2 0 2); 2θ 65.6, intensity 24.5, (3 1 1); 2θ 69.9, intensity 19.3, (2 2 2)

Atomic structure:
a b c (Å): 4.740 4.740 4.522
angles (deg): 90.00 90.00 90.00
Space group P4/mmm (No. 123)
Unique sites:
1 Ta 0.000 0.000 0.000 (multiplicity 1)
2 Ti 0.500 0.500 0.500 (multiplicity 1)
3 S 0.000 0.500 0.500 (multiplicity 2)
4 Cl 0.500 0.500 0.000 (multiplicity 1)